No. 1
# Ba7Cd2Ga2
Theoretical powder XRD pattern, CuKα. Input: the PBE geometry in Alexandria.
Peak positions follow from Bragg's law for the DFT cell and can differ from measured ones.

Largest 8 diffraction maxima, most intense first, 2θ = 5–70°:
2theta  I (rel.)
32.03  100
25.03  79
30.79  78
28.14  63
39.24  61
23.34  45
22.92  42
47.95  34

Cell and atoms:
Unit cell a=7.661 b=7.661 c=9.024 alpha=90.05 beta=90.05 gamma=68.25
Atoms (fractional coordinates):
Ba (0.000, 0.000, 0.000)
Ba (0.000, 0.500, 0.293)
Ba (0.000, 0.500, 0.707)
Ba (0.500, 0.000, 0.293)
Ba (0.500, 0.000, 0.707)
Ba (0.500, 0.500, 0.295)
Ba (0.500, 0.500, 0.705)
Cd (0.315, 0.315, 0.000)
Cd (0.685, 0.685, 0.000)
Ga (0.147, 0.853, 0.500)
Ga (0.853, 0.147, 0.500)



No. 2
# AcInTe4Pb2
Theoretical powder XRD pattern, CuKα. Input: the PBE geometry in Alexandria.
Peak positions follow from Bragg's law for the DFT cell and can differ from measured ones.

Largest 8 diffraction maxima, most intense first, 2θ = 5–70°:
2theta  I (rel.)
26.75  100
38.31  78
26.92  49
47.34  43
38.18  39
62.33  38
69.10  28
62.64  19

Cell and atoms:
Unit cell a=8.130 b=8.130 c=8.130 alpha=131.59 beta=131.59 gamma=70.88
Atoms (fractional coordinates):
Ac (0.000, 0.000, 0.000)
In (0.750, 0.250, 0.500)
Te (0.003, 0.503, 0.500)
Te (0.250, 0.250, 0.000)
Te (0.497, 0.997, 0.500)
Te (0.750, 0.750, 0.000)
Pb (0.250, 0.750, 0.500)
Pb (0.500, 0.500, 0.000)



No. 3
# AlB2P
Theoretical powder XRD pattern, CuKα. Input: the PBE geometry in Alexandria.
Peak positions follow from Bragg's law for the DFT cell and can differ from measured ones.

Largest 8 diffraction maxima, most intense first, 2θ = 5–70°:
2theta  I (rel.)
25.37  100
51.92  24
24.43  22
33.31  20
22.08  18
35.30  18
50.10  15
40.75  14

Cell and atoms:
Unit cell a=4.029 b=4.219 c=6.759 alpha=92.37 beta=91.96 gamma=91.20
Atoms (fractional coordinates):
Al (0.000, 0.000, 0.000)
Al (0.463, 0.423, 0.618)
B (0.224, 0.214, 0.313)
B (0.574, 0.454, 0.301)
B (0.936, 0.445, 0.186)
B (0.948, 0.459, 0.441)
P (0.235, 0.770, 0.318)
P (0.488, 0.937, 0.807)



No. 4
# Pm2Er3Cd4
Theoretical powder XRD pattern, CuKα. Input: the PBE geometry in Alexandria.
Peak positions follow from Bragg's law for the DFT cell and can differ from measured ones.

Largest 8 diffraction maxima, most intense first, 2θ = 5–70°:
2theta  I (rel.)
34.34  100
29.67  51
36.60  45
60.91  36
30.11  31
38.31  29
39.57  22
28.01  17

Cell and atoms:
Unit cell a=9.818 b=9.818 c=8.175 alpha=90.00 beta=90.00 gamma=139.54
Atoms (fractional coordinates):
Pm (0.093, 0.907, 0.899)
Pm (0.407, 0.593, 0.399)
Pm (0.593, 0.407, 0.601)
Pm (0.907, 0.093, 0.101)
Er (0.000, 0.000, 0.500)
Er (0.004, 0.496, 0.750)
Er (0.496, 0.004, 0.250)
Er (0.500, 0.500, 0.000)
Er (0.504, 0.996, 0.750)
Er (0.996, 0.504, 0.250)
Cd (0.163, 0.837, 0.515)
Cd (0.175, 0.325, 0.750)
Cd (0.325, 0.175, 0.250)
Cd (0.337, 0.663, 0.015)
Cd (0.663, 0.337, 0.985)
Cd (0.675, 0.825, 0.750)
Cd (0.825, 0.675, 0.250)
Cd (0.837, 0.163, 0.485)



No. 5
# Zn2Cu2Rh
Theoretical powder XRD pattern, CuKα. Input: the PBE geometry in Alexandria.
Peak positions follow from Bragg's law for the DFT cell and can differ from measured ones.

Largest 8 diffraction maxima, most intense first, 2θ = 5–70°:
2theta  I (rel.)
43.59  100
41.23  83
41.49  52
36.71  24
53.11  16
47.34  13
66.86  12
66.30  11

Cell and atoms:
Unit cell a=6.924 b=6.924 c=2.798 alpha=90.00 beta=90.00 gamma=90.00
Atoms (fractional coordinates):
Zn (0.175, 0.325, 0.000)
Zn (0.325, 0.825, 0.000)
Zn (0.675, 0.175, 0.000)
Zn (0.825, 0.675, 0.000)
Cu (0.124, 0.624, 0.500)
Cu (0.376, 0.124, 0.500)
Cu (0.624, 0.876, 0.500)
Cu (0.876, 0.376, 0.500)
Rh (0.000, 0.000, 0.500)
Rh (0.500, 0.500, 0.500)



No. 6
# TbAlCd11
Theoretical powder XRD pattern, CuKα. Input: the PBE geometry in Alexandria.
Peak positions follow from Bragg's law for the DFT cell and can differ from measured ones.

Largest 8 diffraction maxima, most intense first, 2θ = 5–70°:
2theta  I (rel.)
36.19  100
35.86  74
39.87  54
36.01  49
35.34  48
31.05  47
35.51  43
64.73  36

Cell and atoms:
Unit cell a=7.644 b=7.644 c=7.568 alpha=98.48 beta=98.48 gamma=134.66
Atoms (fractional coordinates):
Tb (0.000, 0.000, 0.000)
Al (0.500, 0.500, 0.500)
Cd (0.000, 0.000, 0.500)
Cd (0.000, 0.500, 0.000)
Cd (0.008, 0.355, 0.354)
Cd (0.293, 0.503, 0.787)
Cd (0.355, 0.008, 0.354)
Cd (0.497, 0.707, 0.213)
Cd (0.500, 0.000, 0.000)
Cd (0.503, 0.293, 0.787)
Cd (0.645, 0.992, 0.646)
Cd (0.707, 0.497, 0.213)
Cd (0.992, 0.645, 0.646)